Starting from DFT lattice parameters and positions (GGA+U), the powder diffraction line list of SrNdCoRuO6 was simulated for Cu Kα X-rays.

Cell and atoms:
```
SrNdCoRuO6
1.0
7.921 0.000 0.000
0.000 7.939 0.000
-7.887 0.000 7.948
Sr Nd Co Ru O
4 4 4 4 24
Direct
0.000 0.232 0.250
0.000 0.768 0.750
0.500 0.264 0.250
0.500 0.736 0.750
0.000 0.272 0.750
0.000 0.728 0.250
0.500 0.231 0.750
0.500 0.769 0.250
0.000 0.000 0.000
0.000 0.000 0.500
0.500 0.500 0.000
0.500 0.500 0.500
0.000 0.500 0.000
0.000 0.500 0.500
0.500 0.000 0.000
0.500 0.000 0.500
0.037 0.255 0.033
0.037 0.745 0.533
0.195 0.495 0.950
0.195 0.505 0.450
0.212 0.048 0.757
0.212 0.952 0.257
0.288 0.451 0.744
0.288 0.549 0.244
0.302 0.013 0.548
0.302 0.987 0.048
0.469 0.245 0.466
0.469 0.755 0.966
0.531 0.245 0.034
0.531 0.755 0.534
0.698 0.013 0.952
0.698 0.987 0.452
0.712 0.451 0.756
0.712 0.549 0.256
0.788 0.048 0.743
0.788 0.952 0.243
0.805 0.495 0.550
0.805 0.505 0.050
0.963 0.255 0.467
0.963 0.745 0.967
```

Peak list (10 most intense, 5° ≤ 2θ ≤ 70°, sorted by position)
d [Å], 2θ (°), I/Imax, (hkl)
5.617, 15.78, 5.9, 0 1 1
2.807, 31.88, 100.0, 2 0 0
2.799, 31.97, 21.6, 2 0 -4
1.986, 45.68, 23.0, 0 0 4
1.980, 45.82, 12.5, 4 0 -4
1.623, 56.74, 16.7, 2 2 2
1.620, 56.85, 24.5, 2 2 -6
1.616, 56.98, 8.5, 4 2 -6
1.405, 66.57, 9.3, 4 0 0
1.402, 66.72, 6.4, 4 4 -4